No. 1
Structure and theoretical powder diffraction line list of ZnIn3 (DFT lattice parameters and positions (GGA-PBE); Cu Kα (λ = 1.5418 Å)).

Cell: 6.2592 12.6654 5.0589 Å, 90.00 90.00 90.00°
Space group Cmcm (No. 63)
Unique sites:
Zn  0.0000  0.1692  0.2500 (multiplicity 4)
In  0.0000  0.3133  0.7500 (multiplicity 4)
In  0.2483  0.0801  0.7500 (multiplicity 8)

Largest 10 diffraction maxima, by angle, 2θ = 10–90°:
index, 2theta, I/Imax
2 2 0, 31.9, 373
0 4 1, 33.4, 850
0 0 2, 35.5, 416
2 2 1, 36.6, 1000
2 2 2, 48.5, 226
2 6 0, 52.3, 225
0 4 3, 62.4, 132
2 2 3, 64.5, 181
2 6 2, 64.8, 230
4 4 1, 69.5, 189

***

No. 2
Structure and theoretical powder diffraction line list of Zn3In (DFT lattice parameters and positions (GGA-PBE); Cu Kα (λ = 1.5418 Å)).

Cell: 4.2197 4.2197 8.1895 Å, 90.00 90.00 90.00°
Space group I4/mmm (No. 139)
Unique sites:
Zn  0.0000  0.0000  0.0000 (multiplicity 2)
Zn  0.0000  0.5000  0.2500 (multiplicity 4)
In  0.0000  0.0000  0.5000 (multiplicity 2)

Largest 10 diffraction maxima, by angle, 2θ = 10–90°:
index, 2theta, I/Imax
0 0 2, 21.7, 19
1 0 1, 23.7, 61
1 1 2, 37.3, 1000
2 0 0, 42.9, 335
0 0 4, 44.2, 152
2 2 0, 62.2, 105
2 0 4, 63.3, 199
3 1 2, 74.8, 237
1 1 6, 76.8, 110
2 2 4, 79.5, 100

***

No. 3
Structure and theoretical powder diffraction line list of Zn3In (DFT lattice parameters and positions (GGA-PBE); Cu Kα (λ = 1.5418 Å)).

Cell: 5.1320 13.0271 4.5318 Å, 90.00 90.00 90.00°
Space group Cmcm (No. 63)
Unique sites:
Zn  0.0000  0.1154  0.2500 (multiplicity 4)
Zn  0.2433  0.4278  0.2500 (multiplicity 8)
In  0.0000  0.2947  0.7500 (multiplicity 4)

Largest 10 diffraction maxima, by angle, 2θ = 10–90°:
index, 2theta, I/Imax
1 1 1, 27.1, 222
1 3 1, 33.5, 675
0 4 1, 33.9, 828
2 2 0, 37.7, 380
1 5 0, 38.8, 337
0 0 2, 39.8, 564
2 2 1, 42.8, 1000
2 2 2, 55.9, 231
1 5 2, 56.8, 213
2 2 3, 74.3, 179

***

No. 4
Structure and theoretical powder diffraction line list of Zr3In (DFT lattice parameters and positions (GGA-PBE); Cu Kα (λ = 1.5418 Å)).

Cell: 4.4784 4.4784 4.4784 Å, 90.00 90.00 90.00°
Space group Pm-3m (No. 221)
Unique sites:
Zr  0.0000  0.0000  0.5000 (multiplicity 3)
In  0.5000  0.5000  0.5000 (multiplicity 1)

Largest 9 diffraction maxima, by angle, 2θ = 10–90°:
index, 2theta, I/Imax
1 0 0, 19.8, 10
1 1 0, 28.2, 9
1 1 1, 34.7, 1000
2 0 0, 40.3, 492
2 1 0, 45.3, 5
2 2 0, 58.3, 322
3 1 1, 69.6, 370
2 2 2, 73.2, 106
4 0 0, 87.0, 51